Record 1
This entry pairs a crystal structure of LiCd6Ag4 with its calculated XRD peak list. Radiation: CuKα. Structure: the PBE geometry in Alexandria.

Crystal structure
abc: 7.2587 7.2587 7.2587
angles: 120.45 120.45 89.22
Element x y z (fractional)
Li 0.0000 0.0000 0.0000
Cd 0.0000 0.5000 0.5000
Cd 0.1106 0.4590 0.0000
Cd 0.4590 0.1106 0.0000
Cd 0.5000 0.0000 0.5000
Cd 0.5410 0.5410 0.6516
Cd 0.8894 0.8894 0.3484
Ag 0.2583 0.2583 0.6565
Ag 0.3982 0.7417 0.0000
Ag 0.6018 0.6018 0.3435
Ag 0.7417 0.3982 0.0000

Top 10 peaks for 5 to 70 degrees two-theta, low angle first:
| 2θ (°) | d/Å | I/Imax |
| --- | --- | --- |
| 14.98 | 5.913 | 81 |
| 24.53 | 3.629 | 35 |
| 29.01 | 3.078 | 33 |
| 30.23 | 2.956 | 28 |
| 35.21 | 2.549 | 26 |
| 38.23 | 2.354 | 100 |
| 38.46 | 2.341 | 37 |
| 39.09 | 2.305 | 58 |
| 39.53 | 2.280 | 55 |
| 59.27 | 1.559 | 33 |


Record 2
This entry pairs a crystal structure of Li7Cd6Ag16 with its calculated XRD peak list. Radiation: CuKα. Structure: the PBE geometry in Alexandria.

Crystal structure
abc: 9.0073 9.0073 9.0073
angles: 60.00 60.00 60.00
Element x y z (fractional)
Li 0.0000 0.0000 0.0000
Li 0.0000 0.0000 0.5000
Li 0.0000 0.5000 0.0000
Li 0.0000 0.5000 0.5000
Li 0.5000 0.0000 0.0000
Li 0.5000 0.0000 0.5000
Li 0.5000 0.5000 0.0000
Cd 0.2939 0.2939 0.7061
Cd 0.2939 0.7061 0.2939
Cd 0.2939 0.7061 0.7061
Cd 0.7061 0.2939 0.2939
Cd 0.7061 0.2939 0.7061
Cd 0.7061 0.7061 0.2939
Ag 0.0078 0.6641 0.6641
Ag 0.1170 0.1170 0.1170
Ag 0.1170 0.1170 0.6489
Ag 0.1170 0.6489 0.1170
Ag 0.3359 0.3359 0.3359
Ag 0.3359 0.3359 0.9922
Ag 0.3359 0.9922 0.3359
Ag 0.3511 0.8830 0.8830
Ag 0.6489 0.1170 0.1170
Ag 0.6641 0.0078 0.6641
Ag 0.6641 0.6641 0.0078
Ag 0.6641 0.6641 0.6641
Ag 0.8830 0.3511 0.8830
Ag 0.8830 0.8830 0.3511
Ag 0.8830 0.8830 0.8830
Ag 0.9922 0.3359 0.3359

Top 10 peaks for 5 to 70 degrees two-theta, low angle first:
| 2θ (°) | d/Å | I/Imax |
| --- | --- | --- |
| 24.20 | 3.677 | 33 |
| 28.02 | 3.185 | 25 |
| 34.49 | 2.600 | 16 |
| 36.66 | 2.451 | 100 |
| 40.04 | 2.252 | 80 |
| 41.96 | 2.153 | 19 |
| 42.58 | 2.123 | 16 |
| 55.40 | 1.658 | 15 |
| 61.80 | 1.501 | 18 |
| 63.22 | 1.471 | 14 |


Record 3
This entry pairs a crystal structure of LiCdAg5 with its calculated XRD peak list. Radiation: CuKα. Structure: the PBE geometry in Alexandria.

Crystal structure
abc: 5.6783 8.1510 5.9421
angles: 90.00 90.00 90.00
Element x y z (fractional)
Li 0.0000 0.0000 0.0000
Li 0.5000 0.5000 0.0000
Cd 0.0000 0.5000 0.5000
Cd 0.5000 0.0000 0.5000
Ag 0.0000 0.5000 0.0000
Ag 0.2500 0.2500 0.2503
Ag 0.2500 0.2500 0.7497
Ag 0.2500 0.7500 0.2503
Ag 0.2500 0.7500 0.7497
Ag 0.5000 0.0000 0.0000
Ag 0.7500 0.2500 0.2503
Ag 0.7500 0.2500 0.7497
Ag 0.7500 0.7500 0.2503
Ag 0.7500 0.7500 0.7497

Top 10 peaks for 5 to 70 degrees two-theta, low angle first:
| 2θ (°) | d/Å | I/Imax |
| --- | --- | --- |
| 19.05 | 4.659 | 59 |
| 21.81 | 4.075 | 21 |
| 35.85 | 2.505 | 24 |
| 36.67 | 2.451 | 11 |
| 37.46 | 2.401 | 100 |
| 38.65 | 2.330 | 91 |
| 44.12 | 2.053 | 62 |
| 44.46 | 2.038 | 30 |
| 62.52 | 1.486 | 10 |
| 64.43 | 1.446 | 38 |


Record 4
This entry pairs a crystal structure of Li2CdAg9 with its calculated XRD peak list. Radiation: CuKα. Structure: the PBE geometry in Alexandria.

Crystal structure
abc: 4.1317 4.1317 12.3722
angles: 90.00 90.00 90.00
Element x y z (fractional)
Li 0.0000 0.0000 0.1618
Li 0.0000 0.0000 0.8382
Cd 0.0000 0.0000 0.5000
Ag 0.0000 0.5000 0.0000
Ag 0.0000 0.5000 0.3249
Ag 0.0000 0.5000 0.6751
Ag 0.5000 0.0000 0.0000
Ag 0.5000 0.0000 0.3249
Ag 0.5000 0.0000 0.6751
Ag 0.5000 0.5000 0.1623
Ag 0.5000 0.5000 0.5000
Ag 0.5000 0.5000 0.8377

Top 10 peaks for 5 to 70 degrees two-theta, low angle first:
| 2θ (°) | d/Å | I/Imax |
| --- | --- | --- |
| 7.14 | 12.372 | 6 |
| 21.52 | 4.129 | 11 |
| 22.69 | 3.919 | 4 |
| 30.62 | 2.920 | 9 |
| 33.93 | 2.642 | 3 |
| 37.73 | 2.384 | 100 |
| 43.85 | 2.065 | 48 |
| 49.35 | 1.847 | 5 |
| 54.43 | 1.686 | 3 |
| 63.75 | 1.460 | 29 |


Record 5
This entry pairs a crystal structure of Li3CdAg with its calculated XRD peak list. Radiation: CuKα. Structure: the PBE geometry in Alexandria.

Crystal structure
abc: 7.0864 7.0864 5.6533
angles: 101.14 101.14 38.59
Element x y z (fractional)
Li 0.0045 0.0045 0.2577
Li 0.2039 0.2039 0.1724
Li 0.3876 0.3876 0.5535
Li 0.6124 0.6124 0.4465
Li 0.7961 0.7961 0.8276
Li 0.9955 0.9955 0.7423
Cd 0.3977 0.3977 0.0597
Cd 0.6023 0.6023 0.9403
Ag 0.1928 0.1928 0.6719
Ag 0.8072 0.8072 0.3281

Top 10 peaks for 5 to 70 degrees two-theta, low angle first:
| 2θ (°) | d/Å | I/Imax |
| --- | --- | --- |
| 23.07 | 3.855 | 63 |
| 24.94 | 3.570 | 100 |
| 30.15 | 2.964 | 60 |
| 34.58 | 2.594 | 21 |
| 38.04 | 2.365 | 32 |
| 38.45 | 2.341 | 35 |
| 39.42 | 2.286 | 62 |
| 39.63 | 2.274 | 61 |
| 45.32 | 2.001 | 20 |
| 55.19 | 1.664 | 25 |


Record 6
This entry pairs a crystal structure of Li6CdAg10 with its calculated XRD peak list. Radiation: CuKα. Structure: the PBE geometry in Alexandria.

Crystal structure
abc: 7.7273 7.7273 5.6323
angles: 90.00 90.00 120.00
Element x y z (fractional)
Li 0.0000 0.3633 0.3087
Li 0.0000 0.6367 0.6913
Li 0.3633 0.0000 0.3087
Li 0.3633 0.3633 0.6913
Li 0.6367 0.0000 0.6913
Li 0.6367 0.6367 0.3087
Cd 0.0000 0.0000 0.5000
Ag 0.0000 0.2966 0.8226
Ag 0.0000 0.7034 0.1774
Ag 0.2966 0.0000 0.8226
Ag 0.2966 0.2966 0.1774
Ag 0.3333 0.6667 0.0000
Ag 0.3333 0.6667 0.5000
Ag 0.6667 0.3333 0.0000
Ag 0.6667 0.3333 0.5000
Ag 0.7034 0.0000 0.1774
Ag 0.7034 0.7034 0.8226

Top 10 peaks for 5 to 70 degrees two-theta, low angle first:
| 2θ (°) | d/Å | I/Imax |
| --- | --- | --- |
| 23.02 | 3.864 | 14 |
| 26.64 | 3.346 | 12 |
| 28.01 | 3.186 | 92 |
| 31.09 | 2.877 | 8 |
| 39.04 | 2.307 | 18 |
| 39.60 | 2.276 | 100 |
| 40.44 | 2.231 | 80 |
| 49.91 | 1.827 | 13 |
| 57.88 | 1.593 | 27 |
| 64.90 | 1.437 | 15 |


Record 7
This entry pairs a crystal structure of Li2Cd12Ag5 with its calculated XRD peak list. Radiation: CuKα. Structure: the PBE geometry in Alexandria.

Crystal structure
abc: 10.3389 10.3389 4.6431
angles: 102.94 102.94 52.34
Element x y z (fractional)
Li 0.2312 0.7688 0.0000
Li 0.7688 0.2312 0.0000
Cd 0.0669 0.5389 0.8025
Cd 0.0995 0.0995 0.1006
Cd 0.1853 0.6403 0.4135
Cd 0.3597 0.8147 0.5865
Cd 0.4183 0.4183 0.9212
Cd 0.4611 0.9331 0.1975
Cd 0.5389 0.0669 0.8025
Cd 0.5817 0.5817 0.0788
Cd 0.6403 0.1853 0.4135
Cd 0.8147 0.3597 0.5865
Cd 0.9005 0.9005 0.8994
Cd 0.9331 0.4611 0.1975
Ag 0.0000 0.0000 0.5000
Ag 0.1928 0.1928 0.6940
Ag 0.2958 0.2958 0.2958
Ag 0.7042 0.7042 0.7042
Ag 0.8072 0.8072 0.3060

Top 10 peaks for 5 to 70 degrees two-theta, low angle first:
| 2θ (°) | d/Å | I/Imax |
| --- | --- | --- |
| 9.84 | 8.986 | 6 |
| 27.87 | 3.201 | 8 |
| 31.29 | 2.859 | 14 |
| 37.28 | 2.412 | 100 |
| 38.79 | 2.322 | 25 |
| 39.53 | 2.280 | 21 |
| 50.80 | 1.797 | 8 |
| 56.58 | 1.627 | 14 |
| 65.71 | 1.421 | 7 |
| 69.23 | 1.357 | 15 |


Record 8
This entry pairs a crystal structure of Li12CdAg7 with its calculated XRD peak list. Radiation: CuKα. Structure: the PBE geometry in Alexandria.

Crystal structure
abc: 7.4275 7.4275 7.4275
angles: 106.93 106.93 106.93
Element x y z (fractional)
Li 0.0936 0.2787 0.8158
Li 0.1768 0.4883 0.6020
Li 0.1842 0.9064 0.7213
Li 0.2787 0.8158 0.0936
Li 0.3980 0.8232 0.5117
Li 0.4883 0.6020 0.1768
Li 0.5117 0.3980 0.8232
Li 0.6020 0.1768 0.4883
Li 0.7213 0.1842 0.9064
Li 0.8158 0.0936 0.2787
Li 0.8232 0.5117 0.3980
Li 0.9064 0.7213 0.1842
Cd 0.0000 0.0000 0.0000
Ag 0.1006 0.4556 0.2039
Ag 0.2039 0.1006 0.4556
Ag 0.4556 0.2039 0.1006
Ag 0.5000 0.5000 0.5000
Ag 0.5444 0.7961 0.8994
Ag 0.7961 0.8994 0.5444
Ag 0.8994 0.5444 0.7961

Top 10 peaks for 5 to 70 degrees two-theta, low angle first:
| 2θ (°) | d/Å | I/Imax |
| --- | --- | --- |
| 14.84 | 5.968 | 80 |
| 20.23 | 4.389 | 25 |
| 25.19 | 3.536 | 100 |
| 31.43 | 2.847 | 95 |
| 33.05 | 2.710 | 47 |
| 38.13 | 2.360 | 41 |
| 39.97 | 2.256 | 57 |
| 41.84 | 2.159 | 30 |
| 44.47 | 2.037 | 31 |
| 44.63 | 2.030 | 31 |